Entry 1:
TbSm14Zr: calculated powder X-ray diffraction pattern (Cu Kα X-rays), based on the GGA-PBE geometry in Alexandria.

The 8 most intense peaks (2θ = 10–80°), in order of rising 2θ:
30.46°, I 100, hkl 2 0 2
35.32°, I 50, hkl 2 2 0
50.81°, I 36, hkl 4 0 0
60.37°, I 28, hkl 4 2 2
60.48°, I 14, hkl 2 0 6
63.40°, I 12, hkl 4 0 4
74.64°, I 4, hkl 4 4 0
74.84°, I 2, hkl 0 0 8

Structure:
Cell lengths 7.193, 7.193, 10.149 Å; angles 90.00, 90.00, 90.00 degrees
Space group P4/mmm (No. 123)
Asymmetric unit:
1 Tb 0.000 0.000 0.000 (multiplicity 1)
2 Sm 0.000 0.000 0.500 (multiplicity 1)
3 Sm 0.000 0.500 0.000 (multiplicity 2)
4 Sm 0.000 0.500 0.500 (multiplicity 2)
5 Sm 0.255 0.255 0.244 (multiplicity 8)
6 Sm 0.500 0.500 0.500 (multiplicity 1)
7 Zr 0.500 0.500 0.000 (multiplicity 1)



Entry 2:
Sm4Th3Tc2: calculated powder X-ray diffraction pattern (Cu Kα X-rays), based on the GGA-PBE geometry in Alexandria.

The 10 most intense peaks (2θ = 10–80°), in order of rising 2θ:
11.26°, I 50, hkl 2 0 0
27.96°, I 71, hkl 3 1 -1
29.13°, I 74, hkl 4 0 1
30.31°, I 63, hkl 2 0 -3
31.57°, I 84, hkl 3 1 -2
32.08°, I 72, hkl 6 0 -2
33.25°, I 100, hkl 3 1 1
34.10°, I 80, hkl 1 1 2
36.28°, I 57, hkl 5 1 -2
46.70°, I 53, hkl 0 2 0

Structure:
Cell lengths 17.281, 3.890, 8.877 Å; angles 90.00, 114.61, 90.00 degrees
Space group C2/m (No. 12)
Asymmetric unit:
1 Sm 0.110 0.000 0.368 (multiplicity 4)
2 Sm 0.227 0.500 0.153 (multiplicity 4)
3 Th 0.000 0.500 0.000 (multiplicity 2)
4 Th 0.086 0.500 0.694 (multiplicity 4)
5 Tc 0.098 0.000 0.921 (multiplicity 4)



Entry 3:
SmTm3Tc: calculated powder X-ray diffraction pattern (Cu Kα X-rays), based on the GGA-PBE geometry in Alexandria.

The 10 most intense peaks (2θ = 10–80°), in order of rising 2θ:
29.47°, I 55, hkl 2 2 0
30.61°, I 39, hkl 0 0 2
30.94°, I 100, hkl 2 2 -2
33.11°, I 19, hkl 2 0 1
33.43°, I 69, hkl 4 0 -1
35.83°, I 28, hkl 3 1 -3
35.94°, I 19, hkl 4 0 -3
39.60°, I 21, hkl 1 3 1
42.00°, I 16, hkl 4 0 0
54.90°, I 15, hkl 4 4 -1

Structure:
Cell lengths 11.584, 8.545, 7.864 Å; angles 90.00, 132.03, 90.00 degrees
Space group C2/m (No. 12)
Asymmetric unit:
1 Sm 0.053 0.000 0.339 (multiplicity 4)
2 Tm 0.056 0.500 0.256 (multiplicity 4)
3 Tm 0.245 0.303 0.792 (multiplicity 8)
4 Tc 0.249 0.500 0.119 (multiplicity 4)



Entry 4:
Sm2TmTc9: calculated powder X-ray diffraction pattern (Cu Kα X-rays), based on the GGA-PBE geometry in Alexandria.

The 10 most intense peaks (2θ = 10–80°), in order of rising 2θ:
30.48°, I 22, hkl 1 0 7
33.22°, I 27, hkl 0 1 8
33.54°, I 34, hkl 1 1 0
39.08°, I 35, hkl 0 2 1
39.40°, I 100, hkl 1 1 6
40.79°, I 21, hkl 0 0 12
42.62°, I 18, hkl 2 0 5
63.42°, I 13, hkl 2 0 14
63.91°, I 24, hkl 3 0 6
70.49°, I 22, hkl 2 2 0

Structure:
Cell lengths 5.3439, 5.3439, 26.5454 Å; angles 90.00, 90.00, 120.00 degrees
Space group R-3m (No. 166, hexagonal axes)
Asymmetric unit:
1 Sm 0.0000 0.0000 0.1442 (multiplicity 6)
2 Tm 0.0000 0.0000 0.0000 (multiplicity 3)
3 Tc 0.0000 0.0000 0.3370 (multiplicity 6)
4 Tc 0.0000 0.0000 0.5000 (multiplicity 3)
5 Tc 0.0074 0.5037 0.9180 (multiplicity 18)



Entry 5:
SmUTc3: calculated powder X-ray diffraction pattern (Cu Kα X-rays), based on the GGA-PBE geometry in Alexandria.

The 10 most intense peaks (2θ = 10–80°), in order of rising 2θ:
29.57°, I 69, hkl 0 2 0
29.96°, I 23, hkl 2 0 1
33.15°, I 83, hkl 3 1 -2
34.65°, I 36, hkl 4 0 -1
39.77°, I 85, hkl 2 2 -2
42.60°, I 100, hkl 2 2 1
44.94°, I 29, hkl 0 0 3
54.75°, I 24, hkl 6 0 -1
61.39°, I 52, hkl 0 4 0
69.49°, I 23, hkl 3 1 -5

Structure:
Cell lengths 10.465, 6.040, 6.988 Å; angles 90.00, 120.00, 90.00 degrees
Space group C2/m (No. 12)
Asymmetric unit:
1 Sm 0.089 0.000 0.266 (multiplicity 4)
2 U 0.168 0.500 0.005 (multiplicity 4)
3 Tc 0.105 0.500 0.320 (multiplicity 4)
4 Tc 0.143 0.252 0.680 (multiplicity 8)



Entry 6:
Sm5Y4Tc2: calculated powder X-ray diffraction pattern (Cu Kα X-rays), based on the GGA-PBE geometry in Alexandria.

The 10 most intense peaks (2θ = 10–80°), in order of rising 2θ:
24.30°, I 45, hkl 0 1 0
27.75°, I 35, hkl 1 0 3
31.52°, I 79, hkl 3 0 0
31.68°, I 100, hkl 1 1 2
32.24°, I 40, hkl 2 1 0
32.98°, I 46, hkl 2 0 -3
33.39°, I 36, hkl 2 0 3
35.53°, I 40, hkl 0 1 3
41.06°, I 36, hkl 3 1 -1
49.79°, I 32, hkl 0 2 0

Structure:
Cell lengths 8.517, 3.662, 10.471 Å; angles 90.00, 90.71, 90.00 degrees
Space group P2/m (No. 10)
Asymmetric unit:
1 Sm 0.000 0.000 0.000 (multiplicity 1)
2 Sm 0.064 0.000 0.338 (multiplicity 2)
3 Sm 0.333 0.000 0.840 (multiplicity 2)
4 Y 0.316 0.500 0.545 (multiplicity 2)
5 Y 0.326 0.500 0.145 (multiplicity 2)
6 Tc 0.429 0.000 0.343 (multiplicity 2)



Entry 7:
SmTe: calculated powder X-ray diffraction pattern (Cu Kα X-rays), based on the GGA-PBE geometry in Alexandria.

The 10 most intense peaks (2θ = 10–80°), in order of rising 2θ:
29.50°, I 100, hkl 1 1 -1
30.51°, I 48, hkl 0 0 2
34.87°, I 36, hkl 0 2 0
36.76°, I 83, hkl 1 1 1
45.94°, I 17, hkl 2 0 -1
46.99°, I 29, hkl 0 2 2
58.94°, I 16, hkl 2 2 -1
62.93°, I 21, hkl 1 1 3
63.76°, I 17, hkl 1 3 1
67.82°, I 19, hkl 2 2 -3

Structure:
Cell lengths 3.951, 5.147, 6.181 Å; angles 90.00, 108.53, 90.00 degrees
Space group P2_1/m (No. 11)
Asymmetric unit:
1 Sm 0.115 0.250 0.240 (multiplicity 2)
2 Te 0.398 0.250 0.779 (multiplicity 2)



Entry 8:
Sm5Te4: calculated powder X-ray diffraction pattern (Cu Kα X-rays), based on the GGA-PBE geometry in Alexandria.

The 10 most intense peaks (2θ = 10–80°), in order of rising 2θ:
24.95°, I 15, hkl 1 2 1
28.66°, I 51, hkl 0 0 2
29.00°, I 100, hkl 3 1 0
41.23°, I 77, hkl 3 1 2
41.48°, I 37, hkl 2 4 0
51.20°, I 40, hkl 2 4 2
67.40°, I 18, hkl 3 1 4
67.93°, I 16, hkl 6 2 2
68.11°, I 16, hkl 5 5 0
75.50°, I 23, hkl 5 5 2

Structure:
Cell lengths 9.735, 9.735, 6.229 Å; angles 90.00, 90.00, 90.00 degrees
Space group I4/m (No. 87)
Asymmetric unit:
1 Sm 0.000 0.000 0.000 (multiplicity 2)
2 Sm 0.103 0.712 0.500 (multiplicity 8)
3 Te 0.092 0.696 0.000 (multiplicity 8)



Entry 9:
Sm5Te7: calculated powder X-ray diffraction pattern (Cu Kα X-rays), based on the GGA-PBE geometry in Alexandria.

The 10 most intense peaks (2θ = 10–80°), in order of rising 2θ:
20.74°, I 49, hkl 2 0 2
26.68°, I 57, hkl 2 0 3
27.27°, I 47, hkl 2 0 -4
27.73°, I 86, hkl 3 1 -1
28.04°, I 47, hkl 3 1 0
29.12°, I 100, hkl 3 1 -2
30.00°, I 77, hkl 3 1 1
36.43°, I 53, hkl 1 1 4
41.46°, I 46, hkl 6 0 -4
41.84°, I 67, hkl 0 2 0

Structure:
Cell lengths 14.579, 4.317, 13.393 Å; angles 90.00, 104.26, 90.00 degrees
Space group C2/m (No. 12)
Asymmetric unit:
1 Sm 0.000 0.000 0.000 (multiplicity 2)
2 Sm 0.115 0.000 0.424 (multiplicity 4)
3 Sm 0.201 0.500 0.812 (multiplicity 4)
4 Te 0.000 0.500 0.500 (multiplicity 2)
5 Te 0.038 0.000 0.783 (multiplicity 4)
6 Te 0.161 0.500 0.048 (multiplicity 4)
7 Te 0.243 0.500 0.349 (multiplicity 4)



Entry 10:
SmTh2Te5: calculated powder X-ray diffraction pattern (Cu Kα X-rays), based on the GGA-PBE geometry in Alexandria.

The 10 most intense peaks (2θ = 10–80°), in order of rising 2θ:
12.70°, I 49, hkl 0 2 0
15.55°, I 78, hkl 1 1 0
21.78°, I 67, hkl 0 2 3
28.20°, I 50, hkl 0 4 2
28.59°, I 100, hkl 2 0 0
31.21°, I 49, hkl 0 4 3
32.31°, I 43, hkl 0 2 5
39.64°, I 39, hkl 2 2 4
40.60°, I 62, hkl 0 6 2
42.84°, I 48, hkl 2 4 3

Structure:
Cell lengths 6.244, 13.942, 15.098 Å; angles 90.00, 90.00, 90.00 degrees
Space group Cmcm (No. 63)
Asymmetric unit:
1 Sm 0.000 0.224 0.250 (multiplicity 4)
2 Th 0.000 0.158 0.554 (multiplicity 8)
3 Te 0.000 0.050 0.125 (multiplicity 8)
4 Te 0.000 0.243 0.750 (multiplicity 4)
5 Te 0.000 0.346 0.069 (multiplicity 8)



Entry 11:
Sm4ThTe5: calculated powder X-ray diffraction pattern (Cu Kα X-rays), based on the GGA-PBE geometry in Alexandria.

The 10 most intense peaks (2θ = 10–80°), in order of rising 2θ:
24.50°, I 4, hkl 1 0 5
28.36°, I 100, hkl 1 1 0
40.54°, I 77, hkl 2 0 0
47.94°, I 2, hkl 1 0 15
50.21°, I 28, hkl 2 0 10
58.67°, I 13, hkl 2 2 0
64.54°, I 1, hkl 2 1 15
66.43°, I 36, hkl 3 1 0
73.75°, I 26, hkl 3 1 10
79.06°, I 1, hkl 1 0 25

Structure:
Cell lengths 4.449, 4.449, 31.494 Å; angles 90.00, 90.00, 90.00 degrees
Space group I4/mmm (No. 139)
Asymmetric unit:
1 Sm 0.000 0.000 0.099 (multiplicity 4)
2 Sm 0.000 0.000 0.300 (multiplicity 4)
3 Th 0.000 0.000 0.500 (multiplicity 2)
4 Te 0.000 0.000 0.000 (multiplicity 2)
5 Te 0.000 0.000 0.200 (multiplicity 4)
6 Te 0.000 0.000 0.399 (multiplicity 4)



Entry 12:
Sm3Y2ThTe6: calculated powder X-ray diffraction pattern (Cu Kα X-rays), based on the GGA-PBE geometry in Alexandria.

The 10 most intense peaks (2θ = 10–80°), in order of rising 2θ:
28.54°, I 100, hkl 1 1 -2
40.30°, I 26, hkl 5 1 2
40.50°, I 13, hkl 2 0 -4
41.12°, I 13, hkl 0 2 0
41.28°, I 24, hkl 7 1 -2
49.44°, I 7, hkl 4 0 4
50.80°, I 13, hkl 6 2 0
59.07°, I 12, hkl 2 2 -4
66.18°, I 11, hkl 4 2 4
67.57°, I 11, hkl 8 2 -4

Structure:
Cell lengths 19.169, 4.390, 8.913 Å; angles 90.00, 101.56, 90.00 degrees
Space group C2/m (No. 12)
Asymmetric unit:
1 Sm 0.000 0.000 0.000 (multiplicity 2)
2 Sm 0.159 0.500 0.337 (multiplicity 4)
3 Y 0.165 0.500 0.832 (multiplicity 4)
4 Th 0.000 0.000 0.500 (multiplicity 2)
5 Te 0.004 0.500 0.757 (multiplicity 4)
6 Te 0.169 0.000 0.083 (multiplicity 4)
7 Te 0.171 0.000 0.593 (multiplicity 4)